No. 1
For Ce3PuH8, a crystal structure in Alexandria, relaxed with GGA-PBE gives the simulated X-ray powder pattern in this record (Cu Kα).
No peak broadening, texture or thermal motion is included.

Structural model:
Cell: 5.4100 5.4100 5.4100 Å, 90.00 90.00 90.00°
Atoms (fractional coordinates):
Ce (0.0000, 0.0000, 0.5000)
Ce (0.0000, 0.5000, 0.0000)
Ce (0.5000, 0.0000, 0.0000)
Pu (0.5000, 0.5000, 0.5000)
H (0.2533, 0.2533, 0.2533)
H (0.2533, 0.2533, 0.7467)
H (0.2533, 0.7467, 0.2533)
H (0.2533, 0.7467, 0.7467)
H (0.7467, 0.2533, 0.2533)
H (0.7467, 0.2533, 0.7467)
H (0.7467, 0.7467, 0.2533)
H (0.7467, 0.7467, 0.7467)

Largest 10 diffraction maxima, in order of rising 2θ, 2θ = 15–90°:
d = 5.410 Å, rel. 5.4; d = 3.123 Å, rel. 100.0; d = 2.705 Å, rel. 49.2; d = 1.913 Å, rel. 38.5; d = 1.631 Å, rel. 45.3; d = 1.562 Å, rel. 12.8; d = 1.353 Å, rel. 6.2; d = 1.241 Å, rel. 18.4; d = 1.210 Å, rel. 16.8; d = 1.104 Å, rel. 13.4

No. 2
For KCd4Hg, a crystal structure in Alexandria, relaxed with GGA-PBE gives the simulated X-ray powder pattern in this record (Cu Kα).
No peak broadening, texture or thermal motion is included.

Structural model:
Cell: 9.2899 9.2899 7.8003 Å, 90.00 90.00 150.33°
Atoms (fractional coordinates):
K (0.1215, 0.8785, 0.7500)
K (0.8785, 0.1215, 0.2500)
Cd (0.0686, 0.9314, 0.2500)
Cd (0.3324, 0.6676, 0.5595)
Cd (0.3324, 0.6676, 0.9405)
Cd (0.5000, 0.5000, 0.0000)
Cd (0.5000, 0.5000, 0.5000)
Cd (0.6676, 0.3324, 0.0595)
Cd (0.6676, 0.3324, 0.4405)
Cd (0.9314, 0.0686, 0.7500)
Hg (0.2388, 0.7612, 0.2500)
Hg (0.7612, 0.2388, 0.7500)

Largest 10 diffraction maxima, in order of rising 2θ, 2θ = 15–90°:
d = 5.889 Å, rel. 35.5; d = 3.962 Å, rel. 27.5; d = 2.975 Å, rel. 78.9; d = 2.867 Å, rel. 20.6; d = 2.691 Å, rel. 76.5; d = 2.376 Å, rel. 100.0; d = 2.262 Å, rel. 74.0; d = 1.681 Å, rel. 38.4; d = 1.370 Å, rel. 14.6; d = 1.350 Å, rel. 13.9

No. 3
For Ca3CeAs3, a crystal structure in Alexandria, relaxed with GGA-PBE gives the simulated X-ray powder pattern in this record (Cu Kα).
No peak broadening, texture or thermal motion is included.

Structural model:
Cell: 9.0180 9.0180 9.0180 Å, 90.00 90.00 90.00°
Atoms (fractional coordinates):
Ca (0.0645, 0.4355, 0.5645)
Ca (0.1804, 0.1804, 0.1804)
Ca (0.1834, 0.8166, 0.3166)
Ca (0.3166, 0.1834, 0.8166)
Ca (0.3196, 0.8196, 0.6804)
Ca (0.4355, 0.5645, 0.0645)
Ca (0.5645, 0.0645, 0.4355)
Ca (0.6804, 0.3196, 0.8196)
Ca (0.6834, 0.6834, 0.6834)
Ca (0.8166, 0.3166, 0.1834)
Ca (0.8196, 0.6804, 0.3196)
Ca (0.9355, 0.9355, 0.9355)
Ce (0.0657, 0.5657, 0.9343)
Ce (0.4343, 0.4343, 0.4343)
Ce (0.5657, 0.9343, 0.0657)
Ce (0.9343, 0.0657, 0.5657)
As (0.0003, 0.2521, 0.8718)
As (0.9997, 0.7521, 0.6282)
As (0.1282, 0.5003, 0.2479)
As (0.2479, 0.1282, 0.5003)
As (0.2521, 0.8718, 0.0003)
As (0.3718, 0.4997, 0.7479)
As (0.5003, 0.2479, 0.1282)
As (0.4997, 0.7479, 0.3718)
As (0.6282, 0.9997, 0.7521)
As (0.7479, 0.3718, 0.4997)
As (0.7521, 0.6282, 0.9997)
As (0.8718, 0.0003, 0.2521)

Largest 10 diffraction maxima, in order of rising 2θ, 2θ = 15–90°:
d = 5.207 Å, rel. 13.7; d = 2.852 Å, rel. 100.0; d = 2.410 Å, rel. 61.4; d = 2.016 Å, rel. 14.7; d = 1.923 Å, rel. 11.3; d = 1.841 Å, rel. 11.3; d = 1.769 Å, rel. 22.4; d = 1.463 Å, rel. 24.1; d = 1.392 Å, rel. 11.8; d = 1.227 Å, rel. 17.1

No. 4
For TbY3Tm7, a crystal structure in Alexandria, relaxed with GGA-PBE gives the simulated X-ray powder pattern in this record (Cu Kα).
No peak broadening, texture or thermal motion is included.

Structural model:
Cell: 6.9193 5.4653 9.8359 Å, 90.00 110.15 90.00°
Atoms (fractional coordinates):
Tb (0.0000, 0.0000, 0.0000)
Y (0.2221, 0.5000, 0.5025)
Y (0.5000, 0.0000, 0.0000)
Y (0.7779, 0.5000, 0.4975)
Tm (0.0800, 0.0000, 0.6693)
Tm (0.1805, 0.5000, 0.8587)
Tm (0.3507, 0.5000, 0.2082)
Tm (0.5000, 0.0000, 0.5000)
Tm (0.6493, 0.5000, 0.7918)
Tm (0.8195, 0.5000, 0.1413)
Tm (0.9200, 0.0000, 0.3307)

Largest 10 diffraction maxima, in order of rising 2θ, 2θ = 15–90°:
d = 3.527 Å, rel. 21.8; d = 3.460 Å, rel. 25.1; d = 2.805 Å, rel. 27.0; d = 2.792 Å, rel. 100.0; d = 2.781 Å, rel. 65.9; d = 2.733 Å, rel. 61.7; d = 2.682 Å, rel. 58.5; d = 1.589 Å, rel. 23.4; d = 1.567 Å, rel. 25.2; d = 1.462 Å, rel. 23.4

No. 5
For MgCdCuIr, a crystal structure in Alexandria, relaxed with GGA-PBE gives the simulated X-ray powder pattern in this record (Cu Kα).
No peak broadening, texture or thermal motion is included.

Structural model:
Cell: 6.3758 6.3758 6.3758 Å, 90.00 90.00 90.00°
Atoms (fractional coordinates):
Mg (0.0000, 0.0000, 0.0000)
Mg (0.0000, 0.5000, 0.5000)
Mg (0.5000, 0.0000, 0.5000)
Mg (0.5000, 0.5000, 0.0000)
Cd (0.0000, 0.0000, 0.5000)
Cd (0.0000, 0.5000, 0.0000)
Cd (0.5000, 0.0000, 0.0000)
Cd (0.5000, 0.5000, 0.5000)
Cu (0.2500, 0.2500, 0.7500)
Cu (0.2500, 0.7500, 0.2500)
Cu (0.7500, 0.2500, 0.2500)
Cu (0.7500, 0.7500, 0.7500)
Ir (0.2500, 0.2500, 0.2500)
Ir (0.2500, 0.7500, 0.7500)
Ir (0.7500, 0.2500, 0.7500)
Ir (0.7500, 0.7500, 0.2500)

Largest 10 diffraction maxima, in order of rising 2θ, 2θ = 15–90°:
d = 3.681 Å, rel. 34.3; d = 3.188 Å, rel. 11.1; d = 2.254 Å, rel. 100.0; d = 1.922 Å, rel. 17.6; d = 1.594 Å, rel. 16.6; d = 1.463 Å, rel. 7.4; d = 1.426 Å, rel. 4.3; d = 1.301 Å, rel. 33.1; d = 1.227 Å, rel. 5.7; d = 1.127 Å, rel. 10.7

No. 6
For Pr6NdDyHo2, a crystal structure in Alexandria, relaxed with GGA-PBE gives the simulated X-ray powder pattern in this record (Cu Kα).
No peak broadening, texture or thermal motion is included.

Structural model:
Cell: 9.0036 9.0036 9.7659 Å, 93.90 93.90 117.21°
Atoms (fractional coordinates):
Pr (0.0075, 0.5629, 0.1866)
Pr (0.1133, 0.7591, 0.5551)
Pr (0.2409, 0.8867, 0.9449)
Pr (0.2955, 0.5126, 0.3821)
Pr (0.4371, 0.9925, 0.3134)
Pr (0.4874, 0.7045, 0.1179)
Pr (0.5126, 0.2955, 0.8821)
Pr (0.5629, 0.0075, 0.6866)
Pr (0.7045, 0.4874, 0.6179)
Pr (0.7591, 0.1133, 0.0551)
Pr (0.8867, 0.2409, 0.4449)
Pr (0.9925, 0.4371, 0.8134)
Nd (0.0283, 0.9717, 0.2500)
Nd (0.9717, 0.0283, 0.7500)
Dy (0.4105, 0.5895, 0.7500)
Dy (0.5895, 0.4105, 0.2500)
Ho (0.2010, 0.2968, 0.0480)
Ho (0.2968, 0.2010, 0.5480)
Ho (0.7032, 0.7990, 0.4520)
Ho (0.7990, 0.7032, 0.9520)

Largest 10 diffraction maxima, in order of rising 2θ, 2θ = 15–90°:
d = 3.257 Å, rel. 22.1; d = 3.192 Å, rel. 42.2; d = 3.011 Å, rel. 55.3; d = 2.976 Å, rel. 49.7; d = 2.962 Å, rel. 15.8; d = 2.918 Å, rel. 100.0; d = 2.901 Å, rel. 40.3; d = 2.827 Å, rel. 24.4; d = 2.702 Å, rel. 38.6; d = 2.656 Å, rel. 15.6

No. 7
For Y2Al2Zn15, a crystal structure in Alexandria, relaxed with GGA-PBE gives the simulated X-ray powder pattern in this record (Cu Kα).
No peak broadening, texture or thermal motion is included.

Structural model:
Cell: 6.8018 6.8018 6.8018 Å, 83.21 83.21 83.21°
Atoms (fractional coordinates):
Y (0.1638, 0.1638, 0.1638)
Y (0.8362, 0.8362, 0.8362)
Al (0.4003, 0.4003, 0.4003)
Al (0.5997, 0.5997, 0.5997)
Zn (0.0000, 0.5000, 0.5000)
Zn (0.1482, 0.1482, 0.6643)
Zn (0.1482, 0.6643, 0.1482)
Zn (0.1980, 0.5000, 0.8020)
Zn (0.1980, 0.8020, 0.5000)
Zn (0.3357, 0.8518, 0.8518)
Zn (0.5000, 0.0000, 0.5000)
Zn (0.5000, 0.1980, 0.8020)
Zn (0.5000, 0.5000, 0.0000)
Zn (0.5000, 0.8020, 0.1980)
Zn (0.6643, 0.1482, 0.1482)
Zn (0.8020, 0.1980, 0.5000)
Zn (0.8020, 0.5000, 0.1980)
Zn (0.8518, 0.3357, 0.8518)
Zn (0.8518, 0.8518, 0.3357)

Largest 10 diffraction maxima, in order of rising 2θ, 2θ = 15–90°:
d = 4.516 Å, rel. 17.6; d = 2.608 Å, rel. 21.8; d = 2.258 Å, rel. 41.7; d = 2.239 Å, rel. 100.0; d = 2.183 Å, rel. 36.2; d = 2.006 Å, rel. 52.7; d = 1.423 Å, rel. 16.4; d = 1.304 Å, rel. 17.4; d = 1.271 Å, rel. 15.8; d = 1.119 Å, rel. 15.9

No. 8
For MgSn4, a crystal structure in Alexandria, relaxed with GGA-PBE gives the simulated X-ray powder pattern in this record (Cu Kα).
No peak broadening, texture or thermal motion is included.

Structural model:
Cell: 7.1306 7.1306 5.8739 Å, 90.00 90.00 90.00°
Atoms (fractional coordinates):
Mg (0.0000, 0.0000, 0.0000)
Mg (0.5000, 0.5000, 0.5000)
Sn (0.2050, 0.2050, 0.5000)
Sn (0.2050, 0.7950, 0.5000)
Sn (0.2950, 0.2950, 0.0000)
Sn (0.2950, 0.7050, 0.0000)
Sn (0.7050, 0.2950, 0.0000)
Sn (0.7050, 0.7050, 0.0000)
Sn (0.7950, 0.2050, 0.5000)
Sn (0.7950, 0.7950, 0.5000)

Largest 10 diffraction maxima, in order of rising 2θ, 2θ = 15–90°:
d = 4.534 Å, rel. 28.5; d = 3.565 Å, rel. 100.0; d = 2.937 Å, rel. 54.3; d = 2.803 Å, rel. 28.9; d = 2.521 Å, rel. 38.2; d = 2.267 Å, rel. 60.6; d = 2.203 Å, rel. 57.3; d = 1.913 Å, rel. 34.3; d = 1.874 Å, rel. 37.3; d = 1.292 Å, rel. 26.6